Computed powder diffractogram
Compound: CaAsAu
Radiation: Cu Kα
Structure: DFT lattice parameters and positions (GGA-PBE)
Neutral-atom scattering factors, no anomalous dispersion.

Main lines, sorted by position (5 to 70 degrees two-theta):
2θ (°)	intensity
19.11	100
23.20	12
30.63	57
33.99	87
36.54	60
38.44	38
48.13	15
48.40	54
56.63	20
57.52	21
66.58	12
69.87	10

Crystal structure
```
data_CaAsAu
_cell_length_a 4.8187
_cell_length_b 6.4087
_cell_length_c 4.8190
_cell_angle_alpha 90.00
_cell_angle_beta 105.44
_cell_angle_gamma 90.00
_space_group_name_H-M_alt 'P 1 21 1'
_space_group_IT_number 4
_space_group_name_Hall 'P 2yb'
loop_
_atom_site_label
_atom_site_fract_x
_atom_site_fract_y
_atom_site_fract_z
Ca1 0.1533 0.0000 0.3443
As1 0.2459 0.4999 0.2566
Au1 0.4953 0.2499 0.9952
```

Computed powder diffractogram
Compound: Mg3As
Radiation: Cu Kα
Structure: DFT lattice parameters and positions (GGA-PBE)
Neutral-atom scattering factors, no anomalous dispersion.

Main lines, sorted by position (5 to 70 degrees two-theta):
2θ (°)	intensity
17.87	59
20.48	22
33.58	25
34.37	12
35.10	100
36.19	92
41.27	63
41.64	31
45.03	11
46.49	10
58.30	11
60.07	40

Crystal structure
```
data_Mg3As
_cell_length_a 6.0540
_cell_length_b 8.6750
_cell_length_c 3.1655
_cell_angle_alpha 90.00
_cell_angle_beta 90.00
_cell_angle_gamma 90.00
_space_group_name_H-M_alt 'C m m m'
_space_group_IT_number 65
_space_group_name_Hall '-C 2 2'
loop_
_atom_site_label
_atom_site_fract_x
_atom_site_fract_y
_atom_site_fract_z
Mg1 0.0000 0.0000 0.0000
Mg2 0.2500 0.2500 0.5000
As1 0.0000 0.5000 0.0000
```

Computed powder diffractogram
Compound: CaPu2F7
Radiation: Cu Kα
Structure: DFT lattice parameters and positions (GGA-PBE)
Neutral-atom scattering factors, no anomalous dispersion.

Main lines, sorted by position (5 to 70 degrees two-theta):
2θ (°)	intensity
15.87	85
23.90	40
25.12	100
25.54	79
28.35	44
31.28	53
32.99	53
43.99	65
45.66	53
47.05	35
50.67	33
61.23	24

Crystal structure
```
data_CaPu2F7
_cell_length_a 4.1171
_cell_length_b 4.1171
_cell_length_c 33.5023
_cell_angle_alpha 90.00
_cell_angle_beta 90.00
_cell_angle_gamma 120.00
_space_group_name_H-M_alt 'R -3 m'
_space_group_IT_number 166
_space_group_name_Hall '-R 3 2"'
loop_
_atom_site_label
_atom_site_fract_x
_atom_site_fract_y
_atom_site_fract_z
Ca1 0.0000 0.0000 0.0000
Pu1 0.0000 0.0000 0.4314
F1 0.0000 0.0000 0.0691
F2 0.0000 0.0000 0.2226
F3 0.0000 0.0000 0.3552
F4 0.0000 0.0000 0.5000
```

Computed powder diffractogram
Compound: Na3Sn2Bi2
Radiation: Cu Kα
Structure: DFT lattice parameters and positions (GGA-PBE)
Neutral-atom scattering factors, no anomalous dispersion.

Main lines, sorted by position (5 to 70 degrees two-theta):
2θ (°)	intensity
10.86	44
19.08	66
20.19	63
21.31	88
21.83	77
31.23	57
33.12	79
33.32	100
33.79	87
34.62	38
37.98	61
40.19	39

Crystal structure
```
data_Na3Sn2Bi2
_cell_length_a 5.7282
_cell_length_b 9.1365
_cell_length_c 16.2863
_cell_angle_alpha 90.00
_cell_angle_beta 90.00
_cell_angle_gamma 90.00
_space_group_name_H-M_alt 'P b c m'
_space_group_IT_number 57
_space_group_name_Hall '-P 2c 2b'
loop_
_atom_site_label
_atom_site_fract_x
_atom_site_fract_y
_atom_site_fract_z
Na1 0.1891 0.0495 0.1418
Na2 0.2814 0.7100 0.2500
Sn1 0.3166 0.0999 0.5561
Bi1 0.1897 0.7500 0.0000
Bi2 0.2334 0.1334 0.7500
```

Computed powder diffractogram
Compound: Zr5Cd2
Radiation: Cu Kα
Structure: DFT lattice parameters and positions (GGA-PBE)
Neutral-atom scattering factors, no anomalous dispersion.

Main lines, sorted by position (5 to 70 degrees two-theta):
2θ (°)	intensity
33.81	32
34.98	67
36.40	100
37.49	42
38.28	29
40.36	59
43.32	30
46.12	15
59.53	14
65.31	16
66.03	17
68.88	15

Crystal structure
```
data_Zr5Cd2
_cell_length_a 10.1767
_cell_length_b 10.1767
_cell_length_c 3.1057
_cell_angle_alpha 90.00
_cell_angle_beta 90.00
_cell_angle_gamma 90.00
_space_group_name_H-M_alt 'P 4/m b m'
_space_group_IT_number 127
_space_group_name_Hall '-P 4 2ab'
loop_
_atom_site_label
_atom_site_fract_x
_atom_site_fract_y
_atom_site_fract_z
Zr1 0.0000 0.5000 0.0000
Zr2 0.0571 0.2098 0.0000
Cd1 0.1836 0.6836 0.5000
```

Computed powder diffractogram
Compound: LiTb3Pu2S6
Radiation: Cu Kα
Structure: DFT lattice parameters and positions (GGA-PBE)
Neutral-atom scattering factors, no anomalous dispersion.

Main lines, sorted by position (5 to 70 degrees two-theta):
2θ (°)	intensity
15.05	8
15.74	14
17.65	11
20.46	8
23.88	6
27.82	80
32.23	100
46.23	73
54.82	37
57.46	19
57.52	6
67.45	12

Crystal structure
```
data_LiTb3Pu2S6
_cell_length_a 6.7980
_cell_length_b 11.7762
_cell_length_c 6.8111
_cell_angle_alpha 90.00
_cell_angle_beta 109.47
_cell_angle_gamma 90.00
_space_group_name_H-M_alt 'C 1 2/m 1'
_space_group_IT_number 12
_space_group_name_Hall '-C 2y'
loop_
_atom_site_label
_atom_site_fract_x
_atom_site_fract_y
_atom_site_fract_z
Li1 0.0000 0.0000 0.0000
Tb1 0.0000 0.1667 0.5000
Tb2 0.0000 0.5000 0.5000
Pu1 0.0000 0.3335 0.0000
S1 0.2448 0.0000 0.7514
S2 0.2471 0.1639 0.2493
```

Computed powder diffractogram
Compound: W7N6
Radiation: Cu Kα
Structure: DFT lattice parameters and positions (GGA-PBE)
Neutral-atom scattering factors, no anomalous dispersion.

Main lines, sorted by position (5 to 70 degrees two-theta):
2θ (°)	intensity
6.23	59
8.30	8
31.51	56
35.94	56
36.51	100
38.03	9
38.18	12
40.84	7
44.33	77
48.53	66
53.32	27
64.60	38

Crystal structure
```
data_W7N6
_cell_length_a 2.8855
_cell_length_b 2.8855
_cell_length_c 42.5859
_cell_angle_alpha 90.00
_cell_angle_beta 90.00
_cell_angle_gamma 120.00
_space_group_name_H-M_alt 'P 3 m 1'
_space_group_IT_number 156
_space_group_name_Hall 'P 3 -2"'
loop_
_atom_site_label
_atom_site_fract_x
_atom_site_fract_y
_atom_site_fract_z
W1 0.0000 0.0000 0.0000
W2 0.0000 0.0000 0.0674
W3 0.0000 0.0000 0.1357
W4 0.0000 0.0000 0.3337
W5 0.0000 0.0000 0.4013
W6 0.0000 0.0000 0.4696
W7 0.0000 0.0000 0.6688
W8 0.0000 0.0000 0.7370
W9 0.3333 0.6667 0.2140
W10 0.3333 0.6667 0.2811
W11 0.3333 0.6667 0.5479
W12 0.3333 0.6667 0.6148
W13 0.3333 0.6667 0.8777
W14 0.3333 0.6667 0.9460
N1 0.0000 0.0000 0.1845
N2 0.0000 0.0000 0.2469
N3 0.0000 0.0000 0.5184
N4 0.0000 0.0000 0.5814
N5 0.0000 0.0000 0.8512
N6 0.0000 0.0000 0.9134
N7 0.3333 0.6667 0.0339
N8 0.3333 0.6667 0.1010
N9 0.3333 0.6667 0.3683
N10 0.3333 0.6667 0.4349
N11 0.3333 0.6667 0.7013
N12 0.3333 0.6667 0.7637
```

Computed powder diffractogram
Compound: HfTaZnHg2
Radiation: Cu Kα
Structure: DFT lattice parameters and positions (GGA-PBE)
Neutral-atom scattering factors, no anomalous dispersion.

Main lines, sorted by position (5 to 70 degrees two-theta):
2θ (°)	intensity
17.62	3
18.73	2
25.83	2
32.10	100
35.68	28
37.99	47
42.17	1
53.10	36
54.81	17
61.85	16
64.95	27
67.14	18

Crystal structure
```
data_HfTaZnHg2
_cell_length_a 4.7371
_cell_length_b 4.7371
_cell_length_c 5.0328
_cell_angle_alpha 90.00
_cell_angle_beta 90.00
_cell_angle_gamma 90.00
_space_group_name_H-M_alt 'P 4/m m m'
_space_group_IT_number 123
_space_group_name_Hall '-P 4 2'
loop_
_atom_site_label
_atom_site_fract_x
_atom_site_fract_y
_atom_site_fract_z
Hf1 0.0000 0.0000 0.0000
Ta1 0.5000 0.5000 0.0000
Zn1 0.0000 0.0000 0.5000
Hg1 0.0000 0.5000 0.5000
```